AlFe2S4: computed powder XRD pattern (copper Kα), based on DFT lattice parameters and positions (GGA-PBE).
Kinematic intensities with the Lorentz-polarization factor, no thermal factor.

Main lines, in order of rising 2θ (2θ = 10–90°):
two_theta, d (Å), intensity, (hkl)
12.80, 6.916, 16, 1 0 0
25.82, 3.451, 65, 1 1 2
30.33, 2.947, 99, 2 1 1
30.46, 2.934, 52, 1 0 3
36.76, 2.445, 52, 2 2 0
36.99, 2.430, 26, 0 0 4
45.48, 1.994, 16, 3 1 2
48.38, 1.881, 53, 3 2 1
48.65, 1.872, 22, 1 0 5
52.96, 1.729, 50, 4 0 0
53.14, 1.724, 100, 2 2 4
66.35, 1.409, 14, 4 0 4

Crystal structure
Lattice parameters (Å, degrees): 6.9159 6.9159 9.7209 90.00 90.00 90.00
Space group P4_122 (No. 91)
Symmetry-distinct sites (fractional):
1 Al 0.0000 0.2534 0.0000 [4 per cell]
2 Fe 0.2515 0.2515 0.3750 [4 per cell]
3 Fe 0.2593 0.5000 0.7500 [4 per cell]
4 S 0.0242 0.2610 0.7530 [8 per cell]
5 S 0.2593 0.4850 0.9865 [8 per cell]

---

AlFe2Sb: computed powder XRD pattern (copper Kα), based on DFT lattice parameters and positions (GGA-PBE).
Kinematic intensities with the Lorentz-polarization factor, no thermal factor.

Main lines, in order of rising 2θ (2θ = 10–90°):
two_theta, d (Å), intensity, (hkl)
14.80, 5.985, 19, 1 0 0
25.78, 3.456, 8, 1 1 1
33.48, 2.677, 14, 2 1 0
42.73, 2.116, 100, 2 2 0
45.46, 1.995, 7, 3 0 0
50.58, 1.805, 4, 3 1 1
55.34, 1.660, 2, 3 2 0
62.02, 1.496, 16, 4 0 0
64.15, 1.452, 4, 3 2 2
72.35, 1.306, 3, 4 2 1
78.25, 1.222, 31, 4 2 2
87.83, 1.111, 2, 5 2 0

Crystal structure
Lattice parameters (Å, degrees): 5.9853 5.9853 5.9853 90.00 90.00 90.00
Space group Pm-3m (No. 221)
Symmetry-distinct sites (fractional):
1 Al 0.0000 0.0000 0.0000 [1 per cell]
2 Al 0.0000 0.0000 0.5000 [3 per cell]
3 Fe 0.2465 0.2465 0.2465 [8 per cell]
4 Sb 0.0000 0.5000 0.5000 [3 per cell]
5 Sb 0.5000 0.5000 0.5000 [1 per cell]